For TbTmHg3, a GGA-PBE-relaxed structure gives the simulated XRD peak list in this record (Cu Kα).

Cell and atoms:
Cell: 5.675 5.675 21.605 Å, 90.00 90.00 90.00°
Space group I-4m2 (No. 119)
One atom of each set of equivalent atoms:
1 Tb 0.000 0.000 0.000 x2
2 Tb 0.000 0.500 0.250 x2
3 Tm 0.000 0.000 0.414 x4
4 Hg 0.000 0.246 0.128 x8
5 Hg 0.000 0.500 0.540 x4

Largest 8 diffraction maxima, by intensity, 10° ≤ 2θ ≤ 90°:
| two_theta | d_spacing | intensity | hkl |
| --- | --- | --- | --- |
| 33.04 | 2.711 | 100 | 1 0 7 |
| 37.58 | 2.394 | 85 | 2 1 3 |
| 32.63 | 2.744 | 78 | 2 0 2 |
| 16.15 | 5.489 | 65 | 1 0 1 |
| 31.53 | 2.837 | 52 | 2 0 0 |
| 25.92 | 3.438 | 49 | 1 0 5 |
| 41.25 | 2.188 | 46 | 2 1 5 |
| 48.39 | 1.881 | 43 | 2 2 4 |

For TbTm5Hg6, a GGA-PBE-relaxed structure gives the simulated XRD peak list in this record (Cu Kα).

Cell and atoms:
Cell: 5.194 7.385 8.235 Å, 90.00 108.03 90.00°
Space group P2/m (No. 10)
One atom of each set of equivalent atoms:
1 Tb 0.000 0.000 0.000 x1
2 Tm 0.000 0.500 0.000 x1
3 Tm 0.332 0.000 0.664 x2
4 Tm 0.335 0.500 0.669 x2
5 Hg 0.168 0.253 0.336 x4
6 Hg 0.500 0.253 0.000 x2

Largest 8 diffraction maxima, by intensity, 10° ≤ 2θ ≤ 90°:
| two_theta | d_spacing | intensity | hkl |
| --- | --- | --- | --- |
| 34.35 | 2.611 | 100 | 1 2 1 |
| 34.48 | 2.601 | 99 | 2 0 -1 |
| 61.66 | 1.504 | 38 | 3 2 0 |
| 61.49 | 1.508 | 25 | 1 2 4 |
| 49.35 | 1.847 | 24 | 2 0 2 |
| 61.90 | 1.499 | 12 | 3 2 -3 |
| 49.68 | 1.835 | 12 | 2 0 -4 |
| 72.39 | 1.306 | 12 | 2 4 2 |

For TbYHg2, a GGA-PBE-relaxed structure gives the simulated XRD peak list in this record (Cu Kα).

Cell and atoms:
Cell: 3.7777 3.7777 27.3772 Å, 90.00 90.00 120.00°
Space group R3m (No. 160, hexagonal axes)
One atom of each set of equivalent atoms:
1 Tb 0.0000 0.0000 0.0000 x3
2 Y 0.0000 0.0000 0.1663 x3
3 Hg 0.0000 0.0000 0.4163 x3
4 Hg 0.0000 0.0000 0.5833 x3

Largest 8 diffraction maxima, by intensity, 10° ≤ 2θ ≤ 90°:
| two_theta | d_spacing | intensity | hkl |
| --- | --- | --- | --- |
| 31.86 | 2.808 | 100 | 0 1 5 |
| 35.78 | 2.509 | 73 | 1 0 7 |
| 28.04 | 3.182 | 46 | 0 1 2 |
| 48.18 | 1.889 | 44 | 1 1 0 |
| 63.99 | 1.455 | 37 | 1 1 12 |
| 39.50 | 2.281 | 26 | 0 0 12 |
| 58.93 | 1.567 | 18 | 2 0 5 |
| 61.44 | 1.509 | 15 | 0 2 7 |

For Tb4YHg4, a GGA-PBE-relaxed structure gives the simulated XRD peak list in this record (Cu Kα).

Cell and atoms:
Cell: 9.542 9.542 5.536 Å, 90.00 90.00 90.00°
Space group P4_2/n (No. 86, origin choice 2)
One atom of each set of equivalent atoms:
1 Tb 0.098 0.839 0.153 x8
2 Y 0.250 0.250 0.750 x2
3 Hg 0.047 0.147 0.351 x8

Largest 8 diffraction maxima, by intensity, 10° ≤ 2θ ≤ 90°:
| two_theta | d_spacing | intensity | hkl |
| --- | --- | --- | --- |
| 37.68 | 2.387 | 100 | 2 3 1 |
| 29.60 | 3.018 | 89 | 3 1 0 |
| 38.77 | 2.322 | 65 | 2 1 2 |
| 32.46 | 2.758 | 62 | 3 0 1 |
| 31.04 | 2.881 | 48 | 2 2 1 |
| 33.71 | 2.659 | 46 | 1 0 2 |
| 58.79 | 1.571 | 41 | 5 0 2 |
| 61.44 | 1.509 | 27 | 2 6 0 |

For Tb9Y4Hg11, a GGA-PBE-relaxed structure gives the simulated XRD peak list in this record (Cu Kα).

Cell and atoms:
Cell: 15.844 22.565 3.555 Å, 90.00 90.00 90.00°
Space group Cmmm (No. 65)
One atom of each set of equivalent atoms:
1 Tb 0.000 0.000 0.000 x2
2 Tb 0.114 0.410 0.000 x8
3 Tb 0.115 0.236 0.000 x8
4 Y 0.162 0.086 0.000 x8
5 Hg 0.000 0.129 0.500 x4
6 Hg 0.000 0.323 0.500 x4
7 Hg 0.000 0.500 0.500 x2
8 Hg 0.224 0.500 0.500 x4
9 Hg 0.234 0.321 0.500 x8

Largest 8 diffraction maxima, by intensity, 10° ≤ 2θ ≤ 90°:
| two_theta | d_spacing | intensity | hkl |
| --- | --- | --- | --- |
| 33.88 | 2.646 | 100 | 4 0 1 |
| 32.84 | 2.727 | 94 | 4 6 0 |
| 34.72 | 2.583 | 82 | 0 6 1 |
| 62.36 | 1.489 | 58 | 4 6 2 |
| 32.56 | 2.750 | 54 | 1 5 1 |
| 34.59 | 2.593 | 37 | 5 5 0 |
| 59.66 | 1.550 | 31 | 5 11 1 |
| 51.41 | 1.777 | 22 | 0 0 2 |

For Tb3Zn4Hg4, a GGA-PBE-relaxed structure gives the simulated XRD peak list in this record (Cu Kα).

Cell and atoms:
Cell: 3.597 4.680 14.658 Å, 99.07 97.04 90.04°
Space group P-1 (No. 2)
One atom of each set of equivalent atoms:
1 Tb 0.000 0.000 0.000 x1
2 Tb 0.144 0.644 0.288 x2
3 Zn 0.261 0.262 0.523 x2
4 Zn 0.406 0.906 0.812 x2
5 Hg 0.314 0.813 0.626 x2
6 Hg 0.448 0.449 0.899 x2

Largest 8 diffraction maxima, by intensity, 10° ≤ 2θ ≤ 90°:
| two_theta | d_spacing | intensity | hkl |
| --- | --- | --- | --- |
| 39.52 | 2.280 | 100 | 0 1 5 |
| 33.82 | 2.651 | 96 | 1 1 -3 |
| 33.12 | 2.705 | 81 | 1 0 3 |
| 31.99 | 2.797 | 71 | -1 1 1 |
| 38.47 | 2.340 | 65 | 0 2 -1 |
| 66.17 | 1.412 | 44 | 2 1 -7 |
| 50.77 | 1.798 | 32 | 2 0 -1 |
| 65.46 | 1.426 | 31 | 2 2 -2 |

For Tb3ZrHg4, a GGA-PBE-relaxed structure gives the simulated XRD peak list in this record (Cu Kα).

Cell and atoms:
Cell: 3.702 3.702 14.564 Å, 90.00 90.00 90.00°
Space group P4/mmm (No. 123)
One atom of each set of equivalent atoms:
1 Tb 0.000 0.000 0.000 x1
2 Tb 0.000 0.000 0.259 x2
3 Zr 0.000 0.000 0.500 x1
4 Hg 0.500 0.500 0.129 x2
5 Hg 0.500 0.500 0.387 x2

Largest 8 diffraction maxima, by intensity, 10° ≤ 2θ ≤ 90°:
| two_theta | d_spacing | intensity | hkl |
| --- | --- | --- | --- |
| 34.55 | 2.596 | 100 | 1 0 4 |
| 34.26 | 2.617 | 53 | 1 1 0 |
| 61.54 | 1.507 | 38 | 2 1 4 |
| 49.23 | 1.851 | 19 | 2 0 0 |
| 62.10 | 1.495 | 16 | 1 1 8 |
| 72.88 | 1.298 | 10 | 2 0 8 |
| 82.38 | 1.171 | 9 | 3 1 0 |
| 82.55 | 1.169 | 9 | 3 0 4 |

For TbZrHg4, a GGA-PBE-relaxed structure gives the simulated XRD peak list in this record (Cu Kα).

Cell and atoms:
Cell: 3.253 4.933 8.573 Å, 90.00 90.01 90.00°
Space group P2/m (No. 10)
One atom of each set of equivalent atoms:
1 Tb 0.000 0.000 0.000 x1
2 Zr 0.000 0.500 0.500 x1
3 Hg 0.496 0.000 0.337 x2
4 Hg 0.497 0.500 0.829 x2

Largest 8 diffraction maxima, by intensity, 10° ≤ 2θ ≤ 90°:
| two_theta | d_spacing | intensity | hkl |
| --- | --- | --- | --- |
| 36.36 | 2.471 | 100 | 0 2 0 |
| 34.64 | 2.590 | 87 | 1 0 2 |
| 69.15 | 1.358 | 31 | 2 2 0 |
| 51.10 | 1.788 | 29 | 1 2 2 |
| 46.14 | 1.967 | 29 | 1 2 0 |
| 64.28 | 1.449 | 20 | 1 1 5 |
| 27.42 | 3.253 | 19 | 1 0 0 |
| 65.49 | 1.425 | 12 | 0 3 3 |

For Th8Tc2Hg, a GGA-PBE-relaxed structure gives the simulated XRD peak list in this record (Cu Kα).

Cell and atoms:
Cell: 11.981 6.765 8.742 Å, 90.00 114.60 90.00°
Space group C2/m (No. 12)
One atom of each set of equivalent atoms:
1 Th 0.002 0.236 0.204 x8
2 Th 0.189 0.000 0.581 x4
3 Th 0.245 0.000 0.153 x4
4 Tc 0.149 0.500 0.087 x4
5 Hg 0.000 0.500 0.500 x2

Largest 8 diffraction maxima, by intensity, 10° ≤ 2θ ≤ 90°:
| two_theta | d_spacing | intensity | hkl |
| --- | --- | --- | --- |
| 31.13 | 2.873 | 100 | 2 2 0 |
| 33.83 | 2.650 | 51 | 0 0 3 |
| 28.69 | 3.111 | 47 | 3 1 -2 |
| 34.26 | 2.617 | 46 | 2 2 -2 |
| 32.92 | 2.721 | 43 | 4 0 0 |
| 34.83 | 2.576 | 30 | 0 2 2 |
| 30.01 | 2.978 | 28 | 1 1 2 |
| 54.22 | 1.692 | 24 | 0 4 0 |

For Th4Tc2Hg5, a GGA-PBE-relaxed structure gives the simulated XRD peak list in this record (Cu Kα).

Cell and atoms:
Cell: 7.939 3.761 9.658 Å, 90.00 95.08 90.00°
Space group P2/m (No. 10)
One atom of each set of equivalent atoms:
1 Th 0.187 0.000 0.343 x2
2 Th 0.211 0.000 0.940 x2
3 Tc 0.086 0.500 0.145 x2
4 Hg 0.164 0.500 0.640 x2
5 Hg 0.466 0.500 0.168 x2
6 Hg 0.500 0.500 0.500 x1

Largest 8 diffraction maxima, by intensity, 10° ≤ 2θ ≤ 90°:
| two_theta | d_spacing | intensity | hkl |
| --- | --- | --- | --- |
| 32.86 | 2.726 | 100 | 1 1 2 |
| 36.87 | 2.438 | 52 | 0 1 3 |
| 31.66 | 2.826 | 44 | 1 1 -2 |
| 34.01 | 2.636 | 41 | 3 0 0 |
| 34.42 | 2.606 | 39 | 2 0 -3 |
| 31.01 | 2.884 | 31 | 1 0 3 |
| 48.40 | 1.881 | 25 | 0 2 0 |
| 34.76 | 2.581 | 19 | 2 1 1 |

For Th3Tc2Hg2, a GGA-PBE-relaxed structure gives the simulated XRD peak list in this record (Cu Kα).

Cell and atoms:
Cell: 11.770 3.792 8.427 Å, 90.00 107.20 90.00°
Space group C2/m (No. 12)
One atom of each set of equivalent atoms:
1 Th 0.000 0.000 0.000 x2
2 Th 0.190 0.000 0.674 x4
3 Tc 0.183 0.500 0.922 x4
4 Hg 0.044 0.500 0.344 x4

Largest 8 diffraction maxima, by intensity, 10° ≤ 2θ ≤ 90°:
| two_theta | d_spacing | intensity | hkl |
| --- | --- | --- | --- |
| 31.78 | 2.815 | 100 | 1 1 -2 |
| 28.13 | 3.172 | 78 | 1 1 1 |
| 33.39 | 2.683 | 67 | 0 0 3 |
| 37.71 | 2.385 | 58 | 3 1 1 |
| 33.09 | 2.707 | 56 | 3 1 -1 |
| 30.43 | 2.938 | 56 | 4 0 -1 |
| 36.30 | 2.475 | 50 | 3 1 -2 |
| 47.98 | 1.896 | 35 | 0 2 0 |

For Th4TcHg, a GGA-PBE-relaxed structure gives the simulated XRD peak list in this record (Cu Kα).

Cell and atoms:
Cell: 7.387 7.387 6.185 Å, 90.00 90.00 90.00°
Space group P4/mcc (No. 124)
One atom of each set of equivalent atoms:
1 Th 0.143 0.319 0.000 x8
2 Tc 0.000 0.000 0.250 x2
3 Hg 0.500 0.500 0.250 x2

Largest 8 diffraction maxima, by intensity, 10° ≤ 2θ ≤ 90°:
| two_theta | d_spacing | intensity | hkl |
| --- | --- | --- | --- |
| 30.68 | 2.914 | 100 | 2 1 1 |
| 38.54 | 2.336 | 34 | 3 1 0 |
| 37.95 | 2.371 | 31 | 2 0 2 |
| 33.68 | 2.661 | 26 | 1 1 2 |
| 52.31 | 1.749 | 23 | 2 1 3 |
| 61.08 | 1.517 | 19 | 3 3 2 |
| 53.23 | 1.721 | 14 | 4 1 1 |
| 73.44 | 1.289 | 12 | 3 1 4 |